Theoretical X-ray diffraction stick pattern
Compound: NaCe2Ho3Se6
Radiation: a wavelength of 1.5418 Å
Structure: a cell relaxed with PBE
No peak broadening, texture or thermal motion is included.

Atomic structure:
Unit cell a=9.274 b=9.274 c=8.347 alpha=103.74 beta=103.74 gamma=25.48
Atoms (fractional coordinates):
1 Na 0.000 0.000 0.000
2 Ce 0.331 0.331 0.661
3 Ce 0.669 0.669 0.339
4 Ho 0.000 0.000 0.500
5 Ho 0.334 0.334 0.172
6 Ho 0.666 0.666 0.828
7 Se 0.162 0.162 0.590
8 Se 0.168 0.168 0.074
9 Se 0.498 0.498 0.255
10 Se 0.502 0.502 0.745
11 Se 0.832 0.832 0.926
12 Se 0.838 0.838 0.410

The 10 most intense peaks (10 to 80 degrees two-theta), in order of rising 2θ:
two_theta	intensity
12.9	7.6
30.6	100.0
43.4	12.5
43.6	24.8
44.0	24.4
44.3	12.1
53.6	6.6
54.8	12.8
63.7	11.9
72.6	10.8